Entry 1:
Calculated powder X-ray diffraction pattern of Na4Ag for Cu Kα (λ = 1.5418 Å), from a DFT-relaxed cell (PBE, Alexandria).
Peak positions follow from Bragg's law for the DFT cell and can differ from measured ones.

The 6 most intense peaks (2θ = 5–70°), most intense first:
- 6.549 Å, 13.5 deg, I 100
- 7.488 Å, 11.8 deg, I 73
- 2.635 Å, 34.0 deg, I 30
- 2.359 Å, 38.2 deg, I 30
- 2.770 Å, 32.3 deg, I 28
- 4.117 Å, 21.6 deg, I 22

a b c (Å): 8.809 8.809 8.809
angles (deg): 131.18 63.58 141.87
Sites, in units of the cell vectors:
1 Na 0.083 0.662 0.745
2 Na 0.176 0.147 0.323
3 Na 0.324 0.647 0.972
4 Na 0.417 0.162 0.579
5 Na 0.583 0.838 0.421
6 Na 0.676 0.353 0.028
7 Na 0.824 0.853 0.677
8 Na 0.917 0.338 0.255
9 Ag 0.250 0.250 0.000
10 Ag 0.750 0.750 0.000

Entry 2:
Calculated powder X-ray diffraction pattern of Na5Ag for Cu Kα (λ = 1.5418 Å), from a DFT-relaxed cell (PBE, Alexandria).
Peak positions follow from Bragg's law for the DFT cell and can differ from measured ones.

The 6 most intense peaks (2θ = 5–70°), most intense first:
- 6.685 Å, 13.2 deg, I 100
- 2.601 Å, 34.5 deg, I 41
- 2.940 Å, 30.4 deg, I 39
- 2.646 Å, 33.9 deg, I 38
- 3.636 Å, 24.5 deg, I 35
- 3.345 Å, 26.7 deg, I 34

a b c (Å): 10.528 4.332 8.652
angles (deg): 90.00 90.00 90.00
Sites, in units of the cell vectors:
1 Na 0.000 0.000 0.000
2 Na 0.065 0.500 0.315
3 Na 0.250 0.000 0.578
4 Na 0.250 0.500 0.932
5 Na 0.435 0.500 0.315
6 Na 0.500 0.000 0.000
7 Na 0.565 0.500 0.685
8 Na 0.750 0.000 0.422
9 Na 0.750 0.500 0.068
10 Na 0.935 0.500 0.685
11 Ag 0.250 0.000 0.198
12 Ag 0.750 0.000 0.802

Entry 3:
Calculated powder X-ray diffraction pattern of NaNbAg2Te4 for Cu Kα (λ = 1.5418 Å), from a DFT-relaxed cell (PBE, Alexandria).
Peak positions follow from Bragg's law for the DFT cell and can differ from measured ones.

The 6 most intense peaks (2θ = 5–70°), most intense first:
- 3.734 Å, 23.8 deg, I 100
- 6.301 Å, 14.1 deg, I 62
- 3.182 Å, 28.0 deg, I 37
- 2.869 Å, 31.2 deg, I 36
- 2.474 Å, 36.3 deg, I 31
- 2.190 Å, 41.2 deg, I 31

a b c (Å): 6.699 7.646 11.124
angles (deg): 90.00 90.00 90.00
Sites, in units of the cell vectors:
1 Na 0.000 0.000 0.000
2 Na 0.500 0.500 0.500
3 Nb 0.000 0.500 0.000
4 Nb 0.500 0.000 0.500
5 Ag 0.000 0.184 0.500
6 Ag 0.000 0.816 0.500
7 Ag 0.500 0.316 0.000
8 Ag 0.500 0.684 0.000
9 Te 0.198 0.301 0.844
10 Te 0.198 0.699 0.156
11 Te 0.302 0.199 0.344
12 Te 0.302 0.801 0.656
13 Te 0.698 0.199 0.656
14 Te 0.698 0.801 0.344
15 Te 0.802 0.301 0.156
16 Te 0.802 0.699 0.844

Number 2 is which compound?
Na5Ag

Repeat the first record exactly.
Calculated powder X-ray diffraction pattern of Na4Ag for Cu Kα (λ = 1.5418 Å), from a DFT-relaxed cell (PBE, Alexandria).
Peak positions follow from Bragg's law for the DFT cell and can differ from measured ones.

The 6 most intense peaks (2θ = 5–70°), most intense first:
- 6.549 Å, 13.5 deg, I 100
- 7.488 Å, 11.8 deg, I 73
- 2.635 Å, 34.0 deg, I 30
- 2.359 Å, 38.2 deg, I 30
- 2.770 Å, 32.3 deg, I 28
- 4.117 Å, 21.6 deg, I 22

a b c (Å): 8.809 8.809 8.809
angles (deg): 131.18 63.58 141.87
Sites, in units of the cell vectors:
1 Na 0.083 0.662 0.745
2 Na 0.176 0.147 0.323
3 Na 0.324 0.647 0.972
4 Na 0.417 0.162 0.579
5 Na 0.583 0.838 0.421
6 Na 0.676 0.353 0.028
7 Na 0.824 0.853 0.677
8 Na 0.917 0.338 0.255
9 Ag 0.250 0.250 0.000
10 Ag 0.750 0.750 0.000